(1)
The following is a theoretical powder XRD pattern of Na6Nb8P5O35. It was derived from a structure optimized by DFT (PBE), using a wavelength of 1.5418 Å.
Lines closer than 0.1° are merged.

Main lines, low angle first (15 to 90 degrees two-theta):
2θ/deg  intensity
17.42  50
19.58  94
22.83  35
23.34  53
25.51  34
26.29  100
30.25  93
30.68  46
32.96  41
53.46  29

Atomic structure:
abc: 11.449 11.449 11.449
angles: 46.66 46.66 46.66
Positions (direct):
Na 0.000 0.215 0.785
Na 0.073 0.500 0.927
Na 0.215 0.785 0.000
Na 0.500 0.927 0.073
Na 0.785 0.000 0.215
Na 0.927 0.073 0.500
Nb 0.202 0.681 0.427
Nb 0.264 0.264 0.264
Nb 0.319 0.798 0.573
Nb 0.427 0.202 0.681
Nb 0.573 0.319 0.798
Nb 0.681 0.427 0.202
Nb 0.736 0.736 0.736
Nb 0.798 0.573 0.319
P 0.000 0.561 0.439
P 0.095 0.095 0.095
P 0.439 0.000 0.561
P 0.561 0.439 0.000
P 0.905 0.905 0.905
O 0.045 0.045 0.045
O 0.061 0.427 0.211
O 0.068 0.807 0.781
O 0.110 0.371 0.451
O 0.116 0.659 0.330
O 0.193 0.932 0.219
O 0.211 0.061 0.427
O 0.219 0.193 0.932
O 0.249 0.447 0.599
O 0.261 0.739 0.500
O 0.330 0.116 0.659
O 0.341 0.884 0.670
O 0.371 0.451 0.110
O 0.401 0.553 0.751
O 0.427 0.211 0.061
O 0.447 0.599 0.249
O 0.451 0.110 0.371
O 0.500 0.261 0.739
O 0.549 0.629 0.890
O 0.553 0.751 0.401
O 0.573 0.939 0.789
O 0.599 0.249 0.447
O 0.629 0.890 0.549
O 0.659 0.330 0.116
O 0.670 0.341 0.884
O 0.739 0.500 0.261
O 0.751 0.401 0.553
O 0.781 0.068 0.807
O 0.789 0.573 0.939
O 0.807 0.781 0.068
O 0.884 0.670 0.341
O 0.890 0.549 0.629
O 0.932 0.219 0.193
O 0.939 0.789 0.573
O 0.955 0.955 0.955

***

(2)
The following is a theoretical powder XRD pattern of Tc2MoOs3. It was derived from a structure optimized by DFT (PBE), using a wavelength of 1.5418 Å.
Lines closer than 0.1° are merged.

Main lines, low angle first (15 to 90 degrees two-theta):
2θ/deg  intensity
32.50  39
37.96  31
38.18  37
39.56  77
39.77  56
42.22  34
42.72  100
46.07  31
52.10  46
76.79  37

Atomic structure:
abc: 7.724 7.724 7.724
angles: 138.21 56.66 143.52
Positions (direct):
Tc 0.352 0.000 0.852
Tc 0.352 0.500 0.352
Tc 0.648 0.000 0.148
Tc 0.648 0.500 0.648
Mo 0.225 0.475 0.750
Mo 0.775 0.525 0.250
Os 0.178 0.242 0.936
Os 0.193 0.758 0.436
Os 0.257 0.007 0.250
Os 0.743 0.993 0.750
Os 0.807 0.242 0.564
Os 0.822 0.758 0.064

***

(3)
The following is a theoretical powder XRD pattern of LiAc2In6Au. It was derived from a structure optimized by DFT (PBE), using a wavelength of 1.5418 Å.
Lines closer than 0.1° are merged.

Main lines, low angle first (15 to 90 degrees two-theta):
2θ/deg  intensity
25.01  40
28.75  25
28.91  49
29.37  17
31.40  66
33.59  100
34.51  31
46.55  15
51.07  20
51.33  41

Atomic structure:
abc: 13.082 13.082 13.082
angles: 31.58 31.58 31.58
Positions (direct):
Li 0.000 0.000 0.000
Li 0.500 0.500 0.500
Ac 0.110 0.110 0.110
Ac 0.284 0.284 0.284
Ac 0.716 0.716 0.716
Ac 0.890 0.890 0.890
In 0.081 0.660 0.660
In 0.218 0.218 0.669
In 0.218 0.669 0.218
In 0.331 0.782 0.782
In 0.340 0.340 0.919
In 0.340 0.919 0.340
In 0.660 0.081 0.660
In 0.660 0.660 0.081
In 0.669 0.218 0.218
In 0.782 0.331 0.782
In 0.782 0.782 0.331
In 0.919 0.340 0.340
Au 0.427 0.427 0.427
Au 0.573 0.573 0.573

***

(4)
The following is a theoretical powder XRD pattern of Li3Mg2In8. It was derived from a structure optimized by DFT (PBE), using a wavelength of 1.5418 Å.
Lines closer than 0.1° are merged.

Main lines, low angle first (15 to 90 degrees two-theta):
2θ/deg  intensity
24.74  97
25.85  24
30.60  34
33.28  30
34.88  56
35.80  35
36.32  100
39.68  22
41.73  39
55.83  21

Atomic structure:
abc: 7.903 7.903 5.172
angles: 99.94 99.94 81.22
Positions (direct):
Li 0.000 0.000 0.000
Li 0.244 0.756 0.500
Li 0.756 0.244 0.500
Mg 0.298 0.298 0.151
Mg 0.702 0.702 0.849
In 0.093 0.623 0.894
In 0.148 0.148 0.568
In 0.377 0.907 0.106
In 0.428 0.428 0.711
In 0.572 0.572 0.289
In 0.623 0.093 0.894
In 0.852 0.852 0.432
In 0.907 0.377 0.106